No. 1
# HoScCd5
Simulated X-ray diffraction stick pattern, Cu Kα X-rays. Input: a structure optimized by DFT (GGA-PBE).
Kinematic intensities with the Lorentz-polarization factor, no thermal factor.

Most intense lines, 10° ≤ 2θ ≤ 80°, by angle:
2θ 12.84, 6.892 Å, rel. 12.2; 2θ 28.44, 3.139 Å, rel. 32.9; 2θ 36.03, 2.493 Å, rel. 55.5; 2θ 36.46, 2.464 Å, rel. 100.0; 2θ 51.87, 1.763 Å, rel. 18.9; 2θ 54.30, 1.689 Å, rel. 11.6; 2θ 60.21, 1.537 Å, rel. 7.9; 2θ 65.05, 1.434 Å, rel. 34.7; 2θ 65.90, 1.417 Å, rel. 13.4; 2θ 77.46, 1.232 Å, rel. 8.4

Cell and atoms:
Unit cell a=4.986 b=4.986 c=6.892 alpha=90.00 beta=90.00 gamma=90.00
Atoms (fractional coordinates):
Ho  0.000  0.000  0.000
Sc  0.500  0.500  0.500
Cd  0.000  0.500  0.278
Cd  0.000  0.500  0.722
Cd  0.500  0.000  0.278
Cd  0.500  0.000  0.722
Cd  0.500  0.500  0.000

No. 2
# PmPr2NdTm5
Simulated X-ray diffraction stick pattern, Cu Kα X-rays. Input: a structure optimized by DFT (GGA-PBE).
Kinematic intensities with the Lorentz-polarization factor, no thermal factor.

Most intense lines, 10° ≤ 2θ ≤ 80°, by angle:
2θ 28.72, 3.109 Å, rel. 46.5; 2θ 29.07, 3.072 Å, rel. 51.8; 2θ 30.87, 2.897 Å, rel. 100.0; 2θ 32.59, 2.748 Å, rel. 13.0; 2θ 34.62, 2.591 Å, rel. 14.6; 2θ 37.78, 2.381 Å, rel. 15.2; 2θ 43.29, 2.090 Å, rel. 18.8; 2θ 46.75, 1.943 Å, rel. 12.1; 2θ 52.67, 1.738 Å, rel. 22.6; 2θ 55.99, 1.642 Å, rel. 13.0

Cell and atoms:
Unit cell a=9.908 b=9.908 c=9.908 alpha=127.99 beta=127.99 gamma=76.65
Atoms (fractional coordinates):
Pm  0.250  0.750  0.500
Pm  0.750  0.250  0.500
Pr  0.118  0.618  0.735
Pr  0.382  0.118  0.500
Pr  0.618  0.882  0.500
Pr  0.882  0.382  0.265
Nd  0.250  0.250  0.000
Nd  0.750  0.750  0.000
Tm  0.000  0.000  0.000
Tm  0.072  0.151  0.500
Tm  0.151  0.651  0.079
Tm  0.349  0.428  0.500
Tm  0.428  0.928  0.079
Tm  0.500  0.500  0.000
Tm  0.572  0.072  0.921
Tm  0.651  0.572  0.500
Tm  0.849  0.349  0.921
Tm  0.928  0.849  0.500

No. 3
# La2PdPt2
Simulated X-ray diffraction stick pattern, Cu Kα X-rays. Input: a structure optimized by DFT (GGA-PBE).
Kinematic intensities with the Lorentz-polarization factor, no thermal factor.

Most intense lines, 10° ≤ 2θ ≤ 80°, by angle:
2θ 30.64, 2.918 Å, rel. 63.2; 2θ 33.55, 2.671 Å, rel. 31.2; 2θ 34.69, 2.586 Å, rel. 47.3; 2θ 35.79, 2.509 Å, rel. 92.7; 2θ 36.70, 2.449 Å, rel. 59.1; 2θ 37.10, 2.424 Å, rel. 100.0; 2θ 37.78, 2.381 Å, rel. 38.0; 2θ 38.34, 2.347 Å, rel. 49.0; 2θ 40.15, 2.246 Å, rel. 68.9; 2θ 65.69, 1.421 Å, rel. 30.8

Cell and atoms:
Unit cell a=5.698 b=5.698 c=8.398 alpha=103.55 beta=103.55 gamma=59.55
Atoms (fractional coordinates):
La  0.013  0.289  0.154
La  0.289  0.013  0.654
La  0.711  0.987  0.346
La  0.987  0.711  0.846
Pd  0.289  0.711  0.250
Pd  0.711  0.289  0.750
Pt  0.246  0.496  0.502
Pt  0.496  0.246  0.002
Pt  0.504  0.754  0.998
Pt  0.754  0.504  0.498

No. 4
# Pr3Tm2Sn3
Simulated X-ray diffraction stick pattern, Cu Kα X-rays. Input: a structure optimized by DFT (GGA-PBE).
Kinematic intensities with the Lorentz-polarization factor, no thermal factor.

Most intense lines, 10° ≤ 2θ ≤ 80°, by angle:
2θ 31.81, 2.813 Å, rel. 100.0; 2θ 33.24, 2.695 Å, rel. 19.6; 2θ 35.97, 2.497 Å, rel. 18.8; 2θ 41.12, 2.195 Å, rel. 13.0; 2θ 49.78, 1.832 Å, rel. 12.7; 2θ 55.75, 1.649 Å, rel. 10.8; 2θ 58.50, 1.578 Å, rel. 12.9; 2θ 62.06, 1.495 Å, rel. 15.0; 2θ 66.48, 1.406 Å, rel. 10.8; 2θ 69.11, 1.359 Å, rel. 10.9

Cell and atoms:
Unit cell a=11.281 b=11.281 c=11.281 alpha=157.56 beta=154.42 gamma=34.28
Atoms (fractional coordinates):
Pr  0.000  0.000  0.000
Pr  0.380  0.880  0.500
Pr  0.620  0.120  0.500
Tm  0.247  0.247  0.000
Tm  0.753  0.753  0.000
Sn  0.141  0.641  0.500
Sn  0.500  0.500  0.000
Sn  0.859  0.359  0.500

No. 5
# Be2CuSi
Simulated X-ray diffraction stick pattern, Cu Kα X-rays. Input: a structure optimized by DFT (GGA-PBE).
Kinematic intensities with the Lorentz-polarization factor, no thermal factor.

Most intense lines, 10° ≤ 2θ ≤ 80°, by angle:
2θ 21.48, 4.137 Å, rel. 26.5; 2θ 23.51, 3.784 Å, rel. 100.0; 2θ 40.46, 2.229 Å, rel. 47.9; 2θ 42.20, 2.141 Å, rel. 68.6; 2θ 43.77, 2.068 Å, rel. 19.0; 2θ 47.21, 1.925 Å, rel. 24.3; 2θ 48.09, 1.892 Å, rel. 22.9; 2θ 52.05, 1.757 Å, rel. 35.8; 2θ 53.21, 1.722 Å, rel. 16.7; 2θ 56.31, 1.634 Å, rel. 17.2

Cell and atoms:
Unit cell a=4.055 b=4.055 c=4.173 alpha=97.16 beta=97.16 gamma=39.40
Atoms (fractional coordinates):
Be  0.249  0.249  0.246
Be  0.751  0.751  0.754
Cu  0.500  0.500  0.000
Si  0.000  0.000  0.500

No. 6
# YScPS
Simulated X-ray diffraction stick pattern, Cu Kα X-rays. Input: a structure optimized by DFT (GGA-PBE).
Kinematic intensities with the Lorentz-polarization factor, no thermal factor.

Most intense lines, 10° ≤ 2θ ≤ 80°, by angle:
2θ 13.39, 6.613 Å, rel. 16.3; 2θ 27.56, 3.236 Å, rel. 45.4; 2θ 28.67, 3.114 Å, rel. 29.7; 2θ 32.73, 2.736 Å, rel. 37.8; 2θ 35.51, 2.528 Å, rel. 100.0; 2θ 42.14, 2.145 Å, rel. 34.0; 2θ 48.05, 1.894 Å, rel. 49.2; 2θ 54.02, 1.698 Å, rel. 14.2; 2θ 61.15, 1.516 Å, rel. 18.7; 2θ 76.49, 1.245 Å, rel. 19.2

Cell and atoms:
Unit cell a=6.965 b=6.965 c=6.965 alpha=31.55 beta=31.55 gamma=31.55
Atoms (fractional coordinates):
Y  0.000  0.000  0.000
Sc  0.179  0.179  0.179
P  0.582  0.582  0.582
S  0.761  0.761  0.761

No. 7
# Pm2BiC2
Simulated X-ray diffraction stick pattern, Cu Kα X-rays. Input: a structure optimized by DFT (GGA-PBE).
Kinematic intensities with the Lorentz-polarization factor, no thermal factor.

Most intense lines, 10° ≤ 2θ ≤ 80°, by angle:
2θ 27.71, 3.219 Å, rel. 20.4; 2θ 29.62, 3.016 Å, rel. 100.0; 2θ 30.19, 2.960 Å, rel. 14.4; 2θ 35.83, 2.506 Å, rel. 14.2; 2θ 38.25, 2.353 Å, rel. 10.8; 2θ 38.63, 2.331 Å, rel. 12.9; 2θ 45.90, 1.977 Å, rel. 12.1; 2θ 47.01, 1.933 Å, rel. 10.2; 2θ 50.22, 1.817 Å, rel. 10.3; 2θ 60.61, 1.528 Å, rel. 10.5

Cell and atoms:
Unit cell a=7.871 b=7.871 c=6.438 alpha=90.04 beta=90.04 gamma=34.45
Atoms (fractional coordinates):
Pm  0.073  0.620  0.685
Pm  0.380  0.927  0.815
Pm  0.620  0.073  0.185
Pm  0.927  0.380  0.315
Bi  0.278  0.722  0.250
Bi  0.722  0.278  0.750
C  0.145  0.382  0.023
C  0.382  0.145  0.523
C  0.618  0.855  0.477
C  0.855  0.618  0.977

No. 8
# Eu5P3O12F
Simulated X-ray diffraction stick pattern, Cu Kα X-rays. Input: a structure optimized by DFT (GGA-PBE).
Kinematic intensities with the Lorentz-polarization factor, no thermal factor.

Most intense lines, 10° ≤ 2θ ≤ 80°, by angle:
2θ 20.85, 4.259 Å, rel. 32.3; 2θ 21.79, 4.080 Å, rel. 29.4; 2θ 26.56, 3.356 Å, rel. 43.5; 2θ 27.71, 3.220 Å, rel. 39.4; 2θ 30.34, 2.946 Å, rel. 100.0; 2θ 30.49, 2.932 Å, rel. 82.1; 2θ 31.51, 2.840 Å, rel. 51.1; 2θ 44.41, 2.040 Å, rel. 34.8; 2θ 46.78, 1.942 Å, rel. 33.2; 2θ 49.55, 1.840 Å, rel. 34.7

Cell and atoms:
Unit cell a=9.837 b=9.837 c=7.303 alpha=90.00 beta=90.00 gamma=120.00
Atoms (fractional coordinates):
Eu  0.012  0.254  0.250
Eu  0.242  0.988  0.250
Eu  0.254  0.242  0.750
Eu  0.333  0.667  0.001
Eu  0.333  0.667  0.499
Eu  0.667  0.333  0.501
Eu  0.667  0.333  0.999
Eu  0.746  0.758  0.250
Eu  0.758  0.012  0.750
Eu  0.988  0.746  0.750
P  0.032  0.400  0.750
P  0.367  0.968  0.750
P  0.400  0.367  0.250
P  0.600  0.633  0.750
P  0.633  0.032  0.250
P  0.968  0.600  0.250
O  0.086  0.346  0.578
O  0.086  0.346  0.922
O  0.119  0.583  0.750
O  0.149  0.671  0.250
O  0.260  0.914  0.578
O  0.260  0.914  0.922
O  0.329  0.478  0.250
O  0.346  0.260  0.078
O  0.346  0.260  0.422
O  0.417  0.536  0.750
O  0.464  0.881  0.750
O  0.478  0.149  0.750
O  0.522  0.851  0.250
O  0.536  0.119  0.250
O  0.583  0.464  0.250
O  0.654  0.740  0.578
O  0.654  0.740  0.922
O  0.671  0.522  0.750
O  0.740  0.086  0.078
O  0.740  0.086  0.422
O  0.851  0.329  0.750
O  0.881  0.417  0.250
O  0.914  0.654  0.078
O  0.914  0.654  0.422
F  0.000  0.000  0.250
F  0.000  0.000  0.750